No. 1
This entry pairs a crystal structure of NiB12 with its theoretical X-ray diffraction stick pattern. Radiation: Cu Kα X-rays. Structure: a crystal structure in the Materials Project, relaxed with GGA-PBE.
Lines closer than 0.1° are merged.

Most intense lines, 10° ≤ 2θ ≤ 90°, in order of falling intensity:
40.38°, I 100
24.03°, I 52
20.77°, I 36
42.26°, I 31
76.00°, I 27
61.31°, I 26
53.95°, I 22
77.28°, I 21
34.24°, I 17
55.47°, I 10
49.20°, I 9
86.07°, I 6

Structure:
a b c (Å): 5.238 5.238 5.238
angles (deg): 60.00 60.00 60.00
Atoms (fractional coordinates):
Ni 0.000 0.000 0.000
B 0.160 0.500 0.500
B 0.160 0.500 0.840
B 0.160 0.840 0.500
B 0.500 0.160 0.500
B 0.500 0.160 0.840
B 0.500 0.500 0.160
B 0.500 0.500 0.840
B 0.500 0.840 0.160
B 0.500 0.840 0.500
B 0.840 0.160 0.500
B 0.840 0.500 0.160
B 0.840 0.500 0.500

---

No. 2
This entry pairs a crystal structure of PrNi4B with its theoretical X-ray diffraction stick pattern. Radiation: Cu Kα X-rays. Structure: a crystal structure in the Materials Project, relaxed with GGA-PBE.
Lines closer than 0.1° are merged.

Most intense lines, 10° ≤ 2θ ≤ 90°, in order of falling intensity:
43.94°, I 100
32.60°, I 82
40.95°, I 76
35.27°, I 29
61.62°, I 26
69.33°, I 24
74.58°, I 22
64.48°, I 15
38.45°, I 14
68.30°, I 13
52.09°, I 12
37.59°, I 12

Structure:
a b c (Å): 5.090 5.090 7.023
angles (deg): 90.00 90.00 120.00
Atoms (fractional coordinates):
Pr 0.000 0.000 0.000
Pr 0.000 0.000 0.500
Ni 0.000 0.500 0.206
Ni 0.000 0.500 0.794
Ni 0.333 0.667 0.500
Ni 0.500 0.000 0.206
Ni 0.500 0.000 0.794
Ni 0.500 0.500 0.206
Ni 0.500 0.500 0.794
Ni 0.667 0.333 0.500
B 0.333 0.667 0.000
B 0.667 0.333 0.000

---

No. 3
This entry pairs a crystal structure of PrNiB4 with its theoretical X-ray diffraction stick pattern. Radiation: Cu Kα X-rays. Structure: a crystal structure in the Materials Project, relaxed with GGA-PBE.
Lines closer than 0.1° are merged.

Most intense lines, 10° ≤ 2θ ≤ 90°, in order of falling intensity:
38.99°, I 100
31.01°, I 79
23.04°, I 66
47.08°, I 33
33.08°, I 27
57.45°, I 24
27.81°, I 20
82.00°, I 19
53.04°, I 18
32.81°, I 17
48.12°, I 16
43.53°, I 16

Structure:
a b c (Å): 6.973 6.973 6.973
angles (deg): 112.77 112.77 103.07
Atoms (fractional coordinates):
Pr 0.206 0.206 0.000
Pr 0.250 0.750 0.500
Pr 0.750 0.250 0.500
Pr 0.794 0.794 0.000
Ni 0.272 0.500 0.772
Ni 0.500 0.272 0.772
Ni 0.500 0.728 0.228
Ni 0.728 0.500 0.228
B 0.113 0.113 0.529
B 0.113 0.276 0.388
B 0.113 0.584 0.000
B 0.113 0.724 0.837
B 0.276 0.113 0.388
B 0.276 0.887 0.163
B 0.416 0.416 0.529
B 0.416 0.887 0.000
B 0.584 0.113 0.000
B 0.584 0.584 0.471
B 0.724 0.113 0.837
B 0.724 0.887 0.612
B 0.887 0.276 0.163
B 0.887 0.416 0.000
B 0.887 0.724 0.612
B 0.887 0.887 0.471

---

No. 4
This entry pairs a crystal structure of Pr2NiB10 with its theoretical X-ray diffraction stick pattern. Radiation: Cu Kα X-rays. Structure: a crystal structure in the Materials Project, relaxed with GGA-PBE.
Lines closer than 0.1° are merged.

Most intense lines, 10° ≤ 2θ ≤ 90°, in order of falling intensity:
30.93°, I 100
38.48°, I 82
22.31°, I 66
49.04°, I 37
27.63°, I 26
21.15°, I 25
31.77°, I 25
45.53°, I 20
43.06°, I 19
39.29°, I 17
59.18°, I 14
28.57°, I 13

Structure:
a b c (Å): 5.643 11.254 4.202
angles (deg): 90.00 90.00 90.00
Atoms (fractional coordinates):
Pr 0.194 0.136 0.000
Pr 0.306 0.636 0.000
Pr 0.694 0.364 0.000
Pr 0.806 0.864 0.000
Ni 0.000 0.500 0.500
Ni 0.500 0.000 0.500
B 0.037 0.312 0.500
B 0.125 0.958 0.500
B 0.154 0.803 0.500
B 0.203 0.386 0.200
B 0.203 0.386 0.800
B 0.297 0.886 0.200
B 0.297 0.886 0.800
B 0.346 0.303 0.500
B 0.375 0.458 0.500
B 0.463 0.812 0.500
B 0.537 0.188 0.500
B 0.625 0.542 0.500
B 0.654 0.697 0.500
B 0.703 0.114 0.200
B 0.703 0.114 0.800
B 0.797 0.614 0.200
B 0.797 0.614 0.800
B 0.846 0.197 0.500
B 0.875 0.042 0.500
B 0.963 0.688 0.500